The following is a theoretical X-ray powder pattern of MnZnNiAs. It was derived from a structure optimized by DFT (GGA-PBE), using Cu Kα X-rays.

Crystal structure
a = 4.2206 Å, b = 2.8407 Å, c = 4.9154 Å
α = 90.00°, β = 111.50°, γ = 90.00°
Atoms (fractional coordinates):
Mn1 0.0000 0.0000 0.0000
Zn1 0.5000 0.0000 0.5000
Ni1 0.0000 0.5000 0.5000
As1 0.5000 0.5000 0.0000

Largest 12 diffraction maxima, by angle, 2θ = 10–90°:
Position (°2θ), I_rel
39.4, 51.8
39.9, 100.0
46.2, 32.2
47.9, 57.6
48.8, 27.2
65.8, 31.5
75.7, 13.7
79.4, 11.9
83.2, 10.6
84.1, 10.3
85.2, 10.0
86.0, 9.7

The following is a theoretical X-ray powder pattern of Na3Sm3SbO8. It was derived from a structure optimized by DFT (GGA-PBE), using Cu Kα X-rays.

Crystal structure
a = 6.9138 Å, b = 6.9138 Å, c = 6.9138 Å
α = 60.64°, β = 60.64°, γ = 60.64°
Atoms (fractional coordinates):
Na1 0.0000 0.5000 0.5000
Na2 0.5000 0.0000 0.5000
Na3 0.5000 0.5000 0.0000
Sm1 0.0000 0.0000 0.5000
Sm2 0.0000 0.5000 0.0000
Sm3 0.5000 0.0000 0.0000
Sb1 0.5000 0.5000 0.5000
O1 0.2375 0.2375 0.2375
O2 0.2630 0.7190 0.7190
O3 0.2810 0.2810 0.7370
O4 0.2810 0.7370 0.2810
O5 0.7190 0.2630 0.7190
O6 0.7190 0.7190 0.2630
O7 0.7370 0.2810 0.2810
O8 0.7625 0.7625 0.7625

Largest 12 diffraction maxima, by angle, 2θ = 10–90°:
Position (°2θ), I_rel
15.8, 100.0
30.0, 51.3
31.4, 51.3
31.9, 17.6
36.6, 75.7
40.1, 19.5
48.3, 19.2
52.4, 25.7
53.0, 23.2
55.1, 22.3
62.7, 16.8
65.6, 12.2

The following is a theoretical X-ray powder pattern of LaSm3Ge2. It was derived from a structure optimized by DFT (GGA-PBE), using Cu Kα X-rays.

Crystal structure
a = 9.1066 Å, b = 9.1066 Å, c = 9.4646 Å
α = 113.09°, β = 113.09°, γ = 28.43°
Atoms (fractional coordinates):
La1 0.1160 0.1160 0.1345
La2 0.8840 0.8840 0.8655
Sm1 0.0503 0.0503 0.6948
Sm2 0.3079 0.3079 0.1165
Sm3 0.3500 0.3500 0.5235
Sm4 0.6500 0.6500 0.4765
Sm5 0.6921 0.6921 0.8835
Sm6 0.9497 0.9497 0.3052
Ge1 0.2359 0.2359 0.7078
Ge2 0.4899 0.4899 0.1332
Ge3 0.5101 0.5101 0.8668
Ge4 0.7641 0.7641 0.2922

Largest 12 diffraction maxima, by angle, 2θ = 10–90°:
Position (°2θ), I_rel
25.9, 18.6
28.7, 20.9
29.9, 26.5
30.5, 25.8
30.8, 100.0
32.3, 69.4
34.3, 23.6
35.5, 38.0
36.0, 23.8
38.1, 29.9
40.3, 43.7
64.2, 18.3

The following is a theoretical X-ray powder pattern of RbBaAl. It was derived from a structure optimized by DFT (GGA-PBE), using Cu Kα X-rays.

Crystal structure
a = 4.6478 Å, b = 4.6478 Å, c = 17.5436 Å
α = 90.00°, β = 90.00°, γ = 120.00°
Atoms (fractional coordinates):
Rb1 0.3333 0.6667 0.1224
Rb2 0.6667 0.3333 0.8776
Ba1 0.0000 0.0000 0.3636
Ba2 0.0000 0.0000 0.6364
Al1 0.3333 0.6667 0.4994
Al2 0.6667 0.3333 0.5006

Largest 12 diffraction maxima, by angle, 2θ = 10–90°:
Position (°2θ), I_rel
20.2, 42.4
22.7, 76.6
24.3, 32.7
26.9, 100.0
30.1, 26.0
33.9, 25.5
38.7, 42.0
42.5, 24.6
44.1, 33.2
47.8, 20.2
57.8, 21.6
63.1, 17.5

The following is a theoretical X-ray powder pattern of Nd6Ir2Pt. It was derived from a structure optimized by DFT (GGA-PBE), using Cu Kα X-rays.

Crystal structure
a = 6.9232 Å, b = 7.3999 Å, c = 12.0579 Å
α = 90.00°, β = 120.27°, γ = 90.00°
Atoms (fractional coordinates):
Nd1 0.0817 0.0570 0.2547
Nd2 0.0817 0.4430 0.7547
Nd3 0.2690 0.6726 0.0873
Nd4 0.2690 0.8274 0.5873
Nd5 0.4047 0.1819 0.0679
Nd6 0.4047 0.3181 0.5679
Nd7 0.5953 0.6819 0.4321
Nd8 0.5953 0.8181 0.9321
Nd9 0.7310 0.1726 0.4127
Nd10 0.7310 0.3274 0.9127
Nd11 0.9183 0.5570 0.2453
Nd12 0.9183 0.9430 0.7453
Ir1 0.3256 0.1139 0.7790
Ir2 0.3256 0.3861 0.2790
Ir3 0.6744 0.6139 0.7210
Ir4 0.6744 0.8861 0.2210
Pt1 0.0000 0.0000 0.0000
Pt2 0.0000 0.5000 0.5000

Largest 12 diffraction maxima, by angle, 2θ = 10–90°:
Position (°2θ), I_rel
14.7, 48.2
28.4, 58.6
29.2, 100.0
29.7, 87.6
31.8, 55.7
32.1, 51.0
35.5, 36.7
37.1, 44.4
38.8, 55.6
43.6, 32.8
46.1, 41.8
51.1, 33.9

The following is a theoretical X-ray powder pattern of Th8GeP6. It was derived from a structure optimized by DFT (GGA-PBE), using Cu Kα X-rays.

Crystal structure
a = 10.5956 Å, b = 10.5956 Å, c = 4.1691 Å
α = 90.00°, β = 90.00°, γ = 120.00°
Atoms (fractional coordinates):
Th1 0.0387 0.3357 0.2561
Th2 0.2971 0.9613 0.2561
Th3 0.3333 0.6667 0.7470
Th4 0.3357 0.2971 0.7439
Th5 0.6643 0.7029 0.2561
Th6 0.6667 0.3333 0.2530
Th7 0.7029 0.0387 0.7439
Th8 0.9613 0.6643 0.7439
Ge1 0.0000 0.0000 0.5000
P1 0.1321 0.6476 0.2471
P2 0.3524 0.4845 0.2471
P3 0.4845 0.1321 0.7529
P4 0.5155 0.8679 0.2471
P5 0.6476 0.5155 0.7529
P6 0.8679 0.3524 0.7529

Largest 12 diffraction maxima, by angle, 2θ = 10–90°:
Position (°2θ), I_rel
27.2, 97.2
28.9, 45.9
29.2, 100.0
33.6, 32.5
35.3, 16.5
40.3, 38.7
43.4, 16.2
48.4, 35.0
50.6, 18.4
53.2, 32.2
54.6, 17.7
76.1, 20.6

The following is a theoretical X-ray powder pattern of Nd2PtO5. It was derived from a structure optimized by DFT (GGA-PBE), using Cu Kα X-rays.

Crystal structure
a = 5.2717 Å, b = 5.2717 Å, c = 5.2717 Å
α = 115.42°, β = 115.42°, γ = 98.14°
Atoms (fractional coordinates):
Nd1 0.0000 0.5000 0.5000
Nd2 0.5000 0.0000 0.5000
Pt1 0.2181 0.2181 0.0000
O1 0.4881 0.4881 0.5011
O2 0.4881 0.9870 0.0000
O3 0.4952 0.4952 0.0000
O4 0.9870 0.4881 0.0000
O5 0.9870 0.9870 0.4989

Largest 12 diffraction maxima, by angle, 2θ = 10–90°:
Position (°2θ), I_rel
20.3, 63.6
31.8, 54.8
34.4, 100.0
38.0, 26.5
41.4, 11.7
42.4, 10.9
45.6, 34.3
53.0, 11.0
58.3, 49.1
63.2, 13.8
72.4, 14.9
76.9, 13.8

The following is a theoretical X-ray powder pattern of CeErCo10. It was derived from a structure optimized by DFT (GGA-PBE), using Cu Kα X-rays.

Crystal structure
a = 3.9747 Å, b = 4.8837 Å, c = 8.4806 Å
α = 90.00°, β = 90.00°, γ = 90.00°
Atoms (fractional coordinates):
Ce1 0.0000 0.0000 0.0000
Er1 0.0000 0.5000 0.5000
Co1 0.0000 0.0000 0.3190
Co2 0.0000 0.0000 0.6810
Co3 0.0000 0.5000 0.1638
Co4 0.0000 0.5000 0.8362
Co5 0.5000 0.0000 0.5000
Co6 0.5000 0.2581 0.2573
Co7 0.5000 0.2581 0.7427
Co8 0.5000 0.5000 0.0000
Co9 0.5000 0.7419 0.2573
Co10 0.5000 0.7419 0.7427

Largest 12 diffraction maxima, by angle, 2θ = 10–90°:
Position (°2θ), I_rel
30.9, 52.6
36.8, 32.1
42.7, 35.4
43.5, 100.0
45.6, 26.9
60.0, 15.0
62.5, 9.3
64.3, 20.1
70.7, 6.8
70.9, 14.2
78.1, 9.6
82.9, 14.1

The following is a theoretical X-ray powder pattern of CeSmTh6. It was derived from a structure optimized by DFT (GGA-PBE), using Cu Kα X-rays.

Crystal structure
a = 5.0206 Å, b = 5.0206 Å, c = 10.0516 Å
α = 90.00°, β = 90.00°, γ = 90.00°
Atoms (fractional coordinates):
Ce1 0.0000 0.0000 0.0000
Sm1 0.0000 0.0000 0.5000
Th1 0.0000 0.5000 0.2448
Th2 0.0000 0.5000 0.7552
Th3 0.5000 0.0000 0.2448
Th4 0.5000 0.0000 0.7552
Th5 0.5000 0.5000 0.0000
Th6 0.5000 0.5000 0.5000

Largest 12 diffraction maxima, by angle, 2θ = 10–90°:
Position (°2θ), I_rel
17.7, 2.5
25.1, 2.3
30.8, 100.0
35.8, 50.9
40.1, 1.4
44.2, 1.1
51.5, 36.7
61.2, 43.9
64.2, 12.7
75.8, 5.9
84.0, 18.5
86.7, 17.3

The following is a theoretical X-ray powder pattern of La2MgZn7. It was derived from a structure optimized by DFT (GGA-PBE), using Cu Kα X-rays.

Crystal structure
a = 4.3126 Å, b = 4.3126 Å, c = 11.1371 Å
α = 90.00°, β = 90.00°, γ = 90.00°
Atoms (fractional coordinates):
La1 0.0000 0.5000 0.2328
La2 0.5000 0.0000 0.7672
Mg1 0.0000 0.0000 0.5000
Zn1 0.0000 0.0000 0.0000
Zn2 0.0000 0.5000 0.6480
Zn3 0.0000 0.5000 0.8748
Zn4 0.5000 0.0000 0.1252
Zn5 0.5000 0.0000 0.3520
Zn6 0.5000 0.5000 0.0000
Zn7 0.5000 0.5000 0.5000

Largest 12 diffraction maxima, by angle, 2θ = 10–90°:
Position (°2θ), I_rel
29.3, 24.1
31.8, 64.6
33.5, 100.0
41.9, 56.9
44.0, 9.9
45.9, 31.6
53.5, 29.0
58.2, 13.2
60.7, 18.2
63.8, 22.7
71.2, 21.5
82.5, 8.9

The following is a theoretical X-ray powder pattern of Na2Li3GaO4. It was derived from a structure optimized by DFT (GGA-PBE), using Cu Kα X-rays.

Crystal structure
a = 8.0303 Å, b = 8.3483 Å, c = 6.5866 Å
α = 90.00°, β = 90.00°, γ = 90.00°
Atoms (fractional coordinates):
Na1 0.0000 0.0000 0.2411
Na2 0.0000 0.0000 0.7589
Na3 0.2411 0.2473 0.5000
Na4 0.2589 0.7473 0.0000
Na5 0.5000 0.5000 0.2589
Na6 0.5000 0.5000 0.7411
Na7 0.7411 0.2527 0.0000
Na8 0.7589 0.7527 0.5000
Li1 0.0152 0.6475 0.2547
Li2 0.0152 0.6475 0.7453
Li3 0.2352 0.5834 0.5000
Li4 0.2648 0.0834 0.0000
Li5 0.4848 0.1475 0.2453
Li6 0.4848 0.1475 0.7547
Li7 0.5152 0.8525 0.2453
Li8 0.5152 0.8525 0.7547
Li9 0.7352 0.9166 0.0000
Li10 0.7648 0.4166 0.5000
Li11 0.9848 0.3525 0.2547
Li12 0.9848 0.3525 0.7453
Ga1 0.2258 0.3753 0.0000
Ga2 0.2742 0.8753 0.5000
Ga3 0.7258 0.1247 0.5000
Ga4 0.7742 0.6247 0.0000
O1 0.0492 0.2224 0.0000
O2 0.0639 0.7742 0.5000
O3 0.1973 0.4885 0.2417
O4 0.1973 0.4885 0.7583
O5 0.3027 0.9885 0.2583
O6 0.3027 0.9885 0.7417
O7 0.4361 0.2742 0.0000
O8 0.4508 0.7224 0.5000
O9 0.5492 0.2776 0.5000
O10 0.5639 0.7258 0.0000
O11 0.6973 0.0115 0.2583
O12 0.6973 0.0115 0.7417
O13 0.8027 0.5115 0.2417
O14 0.8027 0.5115 0.7583
O15 0.9361 0.2258 0.5000
O16 0.9508 0.7776 0.0000

Largest 12 diffraction maxima, by angle, 2θ = 10–90°:
Position (°2θ), I_rel
17.1, 96.6
20.4, 100.0
22.1, 51.0
24.0, 98.2
27.1, 33.6
28.1, 62.9
34.7, 86.7
35.2, 87.1
36.5, 53.2
36.8, 64.5
49.2, 61.9
55.8, 33.4

The following is a theoretical X-ray powder pattern of PrNdNiPt. It was derived from a structure optimized by DFT (GGA-PBE), using Cu Kα X-rays.

Crystal structure
a = 4.4470 Å, b = 5.7125 Å, c = 5.7125 Å
α = 40.67°, β = 90.00°, γ = 90.00°
Atoms (fractional coordinates):
Pr1 0.0000 0.0000 0.0000
Nd1 0.5000 0.7221 0.7221
Ni1 0.0000 0.2809 0.2809
Pt1 0.5000 0.4365 0.4365

Largest 12 diffraction maxima, by angle, 2θ = 10–90°:
Position (°2θ), I_rel
16.6, 16.9
31.3, 100.0
33.5, 23.8
33.8, 30.5
39.3, 24.8
39.5, 66.8
40.6, 28.8
45.7, 20.5
53.8, 16.4
62.7, 16.3
65.4, 15.9
79.8, 15.2

The following is a theoretical X-ray powder pattern of NdMgPb3. It was derived from a structure optimized by DFT (GGA-PBE), using Cu Kα X-rays.

Crystal structure
a = 6.5569 Å, b = 13.5934 Å, c = 6.4838 Å
α = 90.00°, β = 90.14°, γ = 90.00°
Atoms (fractional coordinates):
Nd1 0.2497 0.1918 0.0000
Nd2 0.2497 0.8082 0.5000
Nd3 0.7503 0.1918 0.5000
Nd4 0.7503 0.8082 0.0000
Mg1 0.0000 0.3840 0.2500
Mg2 0.0000 0.6160 0.7500
Mg3 0.5000 0.3839 0.2500
Mg4 0.5000 0.6161 0.7500
Pb1 0.0000 0.0010 0.2500
Pb2 0.0000 0.9990 0.7500
Pb3 0.2503 0.2286 0.5044
Pb4 0.2501 0.4249 0.8139
Pb5 0.2501 0.5751 0.3139
Pb6 0.2503 0.7714 0.0044
Pb7 0.5000 0.0007 0.2500
Pb8 0.5000 0.9993 0.7500
Pb9 0.7497 0.2286 0.9956
Pb10 0.7499 0.4249 0.6861
Pb11 0.7499 0.5751 0.1861
Pb12 0.7497 0.7714 0.4956

Largest 12 diffraction maxima, by angle, 2θ = 10–90°:
Position (°2θ), I_rel
27.2, 19.7
28.0, 29.0
30.3, 44.5
30.6, 100.0
32.9, 47.6
33.7, 46.2
34.0, 35.3
39.6, 21.8
39.7, 21.8
47.7, 29.3
52.0, 21.5
56.1, 27.5